[1]
Theoretical X-ray diffraction stick pattern of NaGe2O4 for λ = 1.5418 Å (Cu Kα), from a DFT-relaxed cell (PBE, Alexandria).
Neutral-atom scattering factors, no anomalous dispersion.

Most intense lines, 2θ from 10° to 90°, sorted by position:
- hkl 0 2 0, 19.64 deg, rel. 100.0
- hkl 0 0 2, 20.60 deg, rel. 95.3
- hkl 0 2 2, 28.61 deg, rel. 81.4
- hkl 1 3 0, 34.18 deg, rel. 21.4
- hkl 0 0 4, 41.91 deg, rel. 21.3
- hkl 2 2 2, 44.69 deg, rel. 69.7
- hkl 1 5 2, 57.95 deg, rel. 21.3
- hkl 2 2 4, 58.73 deg, rel. 19.5

Structure:
```
data_NaGe2O4
_chemical_formula_sum 'Na4 Ge8 O16'
_symmetry_space_group_name_H-M 'C c c m'
_symmetry_Int_Tables_number 66
_symmetry_space_group_name_Hall '-C 2 2c'
_cell_length_a 5.336
_cell_length_b 9.039
_cell_length_c 8.623
_cell_angle_alpha 90.00
_cell_angle_beta 90.00
_cell_angle_gamma 90.00
loop_
_atom_site_label
_atom_site_type_symbol
_atom_site_fract_x
_atom_site_fract_y
_atom_site_fract_z
Na1 Na 0.000 0.000 0.250
Ge1 Ge 0.001 0.278 0.000
O1 O 0.205 0.110 0.500
O2 O 0.250 0.250 0.150
```

***

[2]
Theoretical X-ray diffraction stick pattern of Tb5Au2 for λ = 1.5418 Å (Cu Kα), from a DFT-relaxed cell (PBE, Alexandria).
Neutral-atom scattering factors, no anomalous dispersion.

Most intense lines, 2θ from 10° to 90°, sorted by position:
- hkl 1 1 1, 19.27 deg, rel. 56.3
- hkl 5 1 0, 29.87 deg, rel. 88.6
- hkl 2 2 1, 31.42 deg, rel. 82.5
- hkl 4 0 -2, 31.93 deg, rel. 84.3
- hkl 5 1 1, 33.61 deg, rel. 55.2
- hkl 4 2 0, 33.88 deg, rel. 100.0
- hkl 4 0 2, 35.18 deg, rel. 86.6
- hkl 0 2 2, 36.78 deg, rel. 67.3

Structure:
```
data_Tb5Au2
_chemical_formula_sum 'Tb20 Au8'
_symmetry_space_group_name_H-M 'C 1 2/c 1'
_symmetry_Int_Tables_number 15
_symmetry_space_group_name_Hall '-C 2yc'
_cell_length_a 16.692
_cell_length_b 6.863
_cell_length_c 6.995
_cell_angle_alpha 90.00
_cell_angle_beta 95.48
_cell_angle_gamma 90.00
loop_
_atom_site_label
_atom_site_type_symbol
_atom_site_fract_x
_atom_site_fract_y
_atom_site_fract_z
Tb1 Tb 0.000 0.048 0.250
Tb2 Tb 0.094 0.378 0.950
Tb3 Tb 0.223 0.059 0.294
Au1 Au 0.112 0.215 0.557
```

***

[3]
Theoretical X-ray diffraction stick pattern of KTe4AsPb2 for λ = 1.5418 Å (Cu Kα), from a DFT-relaxed cell (PBE, Alexandria).
Neutral-atom scattering factors, no anomalous dispersion.

Most intense lines, 2θ from 10° to 90°, sorted by position:
- hkl 0 1 1, 11.87 deg, rel. 23.8
- hkl 2 2 0, 27.56 deg, rel. 100.0
- hkl 0 0 4, 27.78 deg, rel. 49.0
- hkl 0 4 0, 39.37 deg, rel. 37.5
- hkl 2 2 4, 39.53 deg, rel. 74.0
- hkl 0 4 4, 48.87 deg, rel. 38.9
- hkl 2 6 0, 64.36 deg, rel. 16.0
- hkl 2 6 4, 71.49 deg, rel. 22.7

Structure:
```
data_KTe4AsPb2
_chemical_formula_sum 'K4 Te16 As4 Pb8'
_symmetry_space_group_name_H-M 'I m m a'
_symmetry_Int_Tables_number 74
_symmetry_space_group_name_Hall '-I 2b 2'
_cell_length_a 9.154
_cell_length_b 9.155
_cell_length_c 12.845
_cell_angle_alpha 90.00
_cell_angle_beta 90.00
_cell_angle_gamma 90.00
loop_
_atom_site_label
_atom_site_type_symbol
_atom_site_fract_x
_atom_site_fract_y
_atom_site_fract_z
K1 K 0.250 0.250 0.250
Te1 Te 0.000 0.010 0.736
Te2 Te 0.222 0.250 0.504
As1 As 0.000 0.000 0.500
Pb1 Pb 0.000 0.000 0.000
Pb2 Pb 0.250 0.250 0.750
```

***

[4]
Theoretical X-ray diffraction stick pattern of Ho2PbO5 for λ = 1.5418 Å (Cu Kα), from a DFT-relaxed cell (PBE, Alexandria).
Neutral-atom scattering factors, no anomalous dispersion.

Most intense lines, 2θ from 10° to 90°, sorted by position:
- hkl 0 0 2, 28.45 deg, rel. 64.4
- hkl 3 0 1, 31.13 deg, rel. 100.0
- hkl 1 2 1, 31.87 deg, rel. 87.9
- hkl 2 2 0, 32.70 deg, rel. 46.2
- hkl 2 2 2, 43.88 deg, rel. 53.5
- hkl 0 4 0, 55.33 deg, rel. 36.9
- hkl 6 0 0, 56.95 deg, rel. 35.1
- hkl 6 0 2, 64.90 deg, rel. 40.8

Structure:
```
data_Ho2PbO5
_chemical_formula_sum 'Ho8 Pb4 O20'
_symmetry_space_group_name_H-M 'P n m a'
_symmetry_Int_Tables_number 62
_symmetry_space_group_name_Hall '-P 2ac 2n'
_cell_length_a 9.693
_cell_length_b 6.639
_cell_length_c 6.275
_cell_angle_alpha 90.00
_cell_angle_beta 90.00
_cell_angle_gamma 90.00
loop_
_atom_site_label
_atom_site_type_symbol
_atom_site_fract_x
_atom_site_fract_y
_atom_site_fract_z
Ho1 Ho 0.169 0.000 0.022
Pb1 Pb 0.000 0.250 0.498
O1 O 0.000 0.250 0.001
O2 O 0.102 0.001 0.665
O3 O 0.199 0.750 0.323
O4 O 0.200 0.250 0.322
```

***

- What is the formula in the second record?
  Tb5Au2